For EuSiAg, a cell relaxed with GGA-PBE gives the simulated powder XRD pattern in this record (copper Kα).
Lines closer than 0.1° are merged.

Structure:
Cell: 4.323 4.383 7.625 Å, 90.00 90.00 90.00°
Space group Amm2 (No. 38)
Symmetry-distinct sites (fractional):
1 Eu 0.000 0.000 0.000
2 Si 0.500 0.000 0.666
3 Ag 0.500 0.000 0.334

Largest 10 diffraction maxima, by angle, 2θ from 10° to 90°:
2θ 23.38, I 22, hkl 0 0 2; 2θ 31.32, I 100, hkl 1 1 1; 2θ 41.05, I 25, hkl 0 1 3; 2θ 41.19, I 12, hkl 0 2 0; 2θ 41.79, I 12, hkl 2 0 0; 2θ 52.62, I 15, hkl 1 2 2; 2θ 60.02, I 16, hkl 2 1 3; 2θ 60.12, I 8, hkl 2 2 0; 2θ 68.74, I 13, hkl 1 2 4; 2θ 69.79, I 10, hkl 3 1 1

---

For EuSi2Ag2, a cell relaxed with GGA-PBE gives the simulated powder XRD pattern in this record (copper Kα).
Lines closer than 0.1° are merged.

Structure:
Cell: 4.314 4.314 10.636 Å, 90.00 90.00 90.00°
Space group I4/mmm (No. 139)
Symmetry-distinct sites (fractional):
1 Eu 0.000 0.000 0.000
2 Si 0.000 0.000 0.391
3 Ag 0.000 0.500 0.250

Largest 10 diffraction maxima, by angle, 2θ from 10° to 90°:
2θ 22.24, I 21, hkl 1 0 1; 2θ 32.69, I 23, hkl 1 0 3; 2θ 33.71, I 18, hkl 0 0 4; 2θ 33.87, I 100, hkl 1 1 2; 2θ 41.88, I 34, hkl 2 0 0; 2θ 54.12, I 11, hkl 2 1 3; 2θ 54.80, I 17, hkl 2 0 4; 2θ 60.40, I 14, hkl 1 1 6; 2θ 60.72, I 11, hkl 2 2 0; 2θ 71.35, I 29, hkl 3 1 2

---

For Ag3F, a cell relaxed with GGA-PBE gives the simulated powder XRD pattern in this record (copper Kα).
Lines closer than 0.1° are merged.

Structure:
Cell: 5.8095 5.8095 4.5763 Å, 90.00 90.00 120.00°
Space group P6_3/mmc (No. 194)
Symmetry-distinct sites (fractional):
1 Ag 0.1673 0.3347 0.2500
2 F 0.3333 0.6667 0.7500

Largest 10 diffraction maxima, by angle, 2θ from 10° to 90°:
2θ 26.33, I 23, hkl 1 0 1; 2θ 30.78, I 10, hkl 1 1 0; 2θ 35.69, I 25, hkl 2 0 0; 2θ 39.38, I 25, hkl 0 0 2; 2θ 40.94, I 100, hkl 2 0 1; 2θ 54.19, I 14, hkl 2 0 2; 2θ 64.12, I 16, hkl 2 2 0; 2θ 72.46, I 17, hkl 2 0 3; 2θ 77.91, I 18, hkl 2 2 2; 2θ 78.94, I 13, hkl 4 0 1

---

For Ag2F5, a cell relaxed with GGA-PBE gives the simulated powder XRD pattern in this record (copper Kα).
Lines closer than 0.1° are merged.

Structure:
Cell: 5.197 7.589 11.446 Å, 88.02 89.21 72.83°
Space group P-1 (No. 2)
Symmetry-distinct sites (fractional):
1 Ag 0.000 0.000 0.000
2 Ag 0.000 0.000 0.500
3 Ag 0.000 0.500 0.000
4 Ag 0.000 0.500 0.500
5 Ag 0.454 0.215 0.234
6 Ag 0.457 0.722 0.247
7 F 0.020 0.838 0.868
8 F 0.050 0.733 0.572
9 F 0.139 0.878 0.346
10 F 0.173 0.771 0.096
11 F 0.222 0.438 0.849
12 F 0.294 0.339 0.601
13 F 0.346 0.455 0.314
14 F 0.372 0.356 0.081
15 F 0.444 0.023 0.847
16 F 0.451 0.922 0.617

Largest 10 diffraction maxima, by angle, 2θ from 10° to 90°:
2θ 23.73, I 100, hkl 1 0 -2; 2θ 25.81, I 34, hkl 1 2 0; 2θ 28.74, I 21, hkl 0 2 2; 2θ 29.60, I 22, hkl 0 2 -2; 2θ 31.28, I 12, hkl 0 0 4; 2θ 36.18, I 15, hkl 2 0 0; 2θ 40.30, I 13, hkl 1 2 4; 2θ 41.67, I 10, hkl 1 2 -4; 2θ 46.87, I 11, hkl -1 2 4; 2θ 47.91, I 10, hkl 1 -2 4

---

For AgF2, a cell relaxed with GGA-PBE gives the simulated powder XRD pattern in this record (copper Kα).
Lines closer than 0.1° are merged.

Structure:
Cell: 3.711 5.128 5.980 Å, 90.00 122.77 90.00°
Space group P2_1/c (No. 14)
Symmetry-distinct sites (fractional):
1 Ag 0.000 0.000 0.000
2 F 0.237 0.206 0.796

Largest 10 diffraction maxima, by angle, 2θ from 10° to 90°:
2θ 24.80, I 100, hkl 0 1 1; 2θ 28.60, I 35, hkl 1 0 0; 2θ 29.80, I 49, hkl 1 1 -1; 2θ 31.36, I 16, hkl 1 0 -2; 2θ 45.27, I 21, hkl 1 1 1; 2θ 45.80, I 17, hkl 1 2 0; 2θ 47.69, I 21, hkl 1 2 -2; 2θ 49.03, I 16, hkl 1 1 -3; 2θ 50.86, I 19, hkl 0 2 2; 2θ 59.59, I 11, hkl 1 3 -1

---

For AgF2, a cell relaxed with GGA-PBE gives the simulated powder XRD pattern in this record (copper Kα).
Lines closer than 0.1° are merged.

Structure:
Cell: 5.327 5.733 5.968 Å, 90.00 90.00 90.00°
Space group Pbca (No. 61)
Symmetry-distinct sites (fractional):
1 Ag 0.000 0.000 0.000
2 F 0.191 0.199 0.384

Largest 10 diffraction maxima, by angle, 2θ from 10° to 90°:
2θ 27.30, I 100, hkl 1 1 1; 2θ 29.94, I 23, hkl 0 0 2; 2θ 31.20, I 10, hkl 0 2 0; 2θ 43.79, I 14, hkl 0 2 2; 2θ 45.65, I 12, hkl 2 0 2; 2θ 46.54, I 17, hkl 2 2 0; 2θ 51.56, I 18, hkl 1 1 3; 2θ 53.18, I 18, hkl 1 3 1; 2θ 56.33, I 14, hkl 2 2 2; 2θ 56.39, I 15, hkl 3 1 1